For UTlInSe4, a PBE-relaxed structure gives the simulated X-ray powder pattern in this record (λ = 1.5418 Å (Cu Kα)).
Kinematic intensities with the Lorentz-polarization factor, no thermal factor.

Atomic structure:
Unit cell a=8.609 b=9.723 c=10.456 alpha=90.00 beta=90.00 gamma=90.00
Space group Imma (No. 74)
Asymmetric unit:
U 0.250 0.250 0.250 [4 per cell]
Tl 0.000 0.250 0.677 [4 per cell]
In 0.000 0.000 0.000 [4 per cell]
Se 0.000 0.065 0.272 [8 per cell]
Se 0.201 0.250 0.988 [8 per cell]

Top 10 peaks for 2θ from 5° to 70°, most intense first:
h k l  two_theta  d [Å]  I_rel
1 0 3  27.6  3.227  100.0
2 3 1  35.7  2.513  92.4
2 1 1  24.2  3.684  91.9
2 2 4  44.6  2.030  63.2
0 2 0  18.2  4.862  51.9
0 0 4  34.3  2.612  48.5
0 4 0  37.0  2.432  41.1
2 3 3  43.5  2.078  33.5
4 0 0  42.0  2.152  28.4
3 2 1  37.4  2.405  27.5